For La2Se3O9, a PBE-relaxed structure gives the simulated PXRD pattern in this record (Cu Kα, 1.54184 Å).

Most intense lines, 2θ from 10° to 80°, low angle first:
(0 2 0), 2θ = 12.2°, d 7.228, rel. 48
(2 2 0), 2θ = 24.1°, d 3.687, rel. 44
(1 1 2), 2θ = 27.7°, d 3.223, rel. 54
(2 3 0), 2θ = 27.8°, d 3.205, rel. 52
(1 4 1), 2θ = 29.6°, d 3.020, rel. 30
(2 3 1), 2θ = 30.6°, d 2.924, rel. 100
(0 5 1), 2θ = 33.4°, d 2.681, rel. 38
(4 0 1), 2θ = 44.1°, d 2.053, rel. 41

Structure:
Cell lengths 8.5732, 14.4565, 7.1671 Å; angles 90.00, 90.00, 90.00 degrees
Space group Pnma (No. 62)
Asymmetric unit:
La: 0.1997 0.0639 0.1791 (multiplicity 8)
Se: 0.0438 0.7500 0.9063 (multiplicity 4)
Se: 0.0478 0.1246 0.6794 (multiplicity 8)
O: 0.0571 0.6544 0.7606 (multiplicity 8)
O: 0.0746 0.0392 0.8501 (multiplicity 8)
O: 0.1197 0.5773 0.4090 (multiplicity 8)
O: 0.1558 0.2500 0.0676 (multiplicity 4)
O: 0.1985 0.0961 0.5294 (multiplicity 8)